Diffraction record for Tl15CdPb4. The powder diffractogram is simulated, not measured: it uses a GGA-PBE-relaxed structure and Cu Kα.
Neutral-atom scattering factors, no anomalous dispersion.

Atomic structure:
Unit cell a=5.3799 b=5.3799 c=21.0011 alpha=90.00 beta=90.00 gamma=90.00
Space group P4/mmm (No. 123)
Inequivalent atoms, fractional coordinates:
Tl 0.0000 0.0000 0.0000 x1
Tl 0.0000 0.0000 0.1952 x2
Tl 0.0000 0.0000 0.3988 x2
Tl 0.0000 0.5000 0.0949 x4
Tl 0.0000 0.5000 0.2964 x4
Tl 0.0000 0.5000 0.5000 x2
Cd 0.5000 0.5000 0.0000 x1
Pb 0.5000 0.5000 0.1962 x2
Pb 0.5000 0.5000 0.3985 x2

Largest 6 diffraction maxima, sorted by position, 5° ≤ 2θ ≤ 70°:
hkl 1 1 5, 2.820 Å, 2θ 31.74, I = 100; hkl 2 0 0, 2.690 Å, 2θ 33.31, I = 45; hkl 2 2 0, 1.902 Å, 2θ 47.82, I = 17; hkl 2 0 10, 1.655 Å, 2θ 55.51, I = 20; hkl 3 1 5, 1.577 Å, 2θ 58.54, I = 36; hkl 2 2 10, 1.410 Å, 2θ 66.30, I = 12